# 1
For NaSrPrFeO6, a DFT-relaxed cell (GGA+U, the Materials Project) gives the calculated powder diffraction line list in this record (Cu Kα, 1.54184 Å).
Peak positions follow from Bragg's law for the DFT cell and can differ from measured ones.

Structure:
abc: 8.3215 8.3215 8.3215
angles: 90.00 90.00 90.00
Space group F-43m (No. 216)
Unique sites:
Na (0.0000, 0.0000, 0.0000) x4
Sr (0.0000, 0.0000, 0.5000) x4
Pr (0.2500, 0.2500, 0.7500) x4
Fe (0.2500, 0.2500, 0.2500) x4
O (0.0263, 0.2500, 0.2500) x24

Most intense lines, 2θ = 10–80°, most intense first:
hkl	d/Å	Rel. int.
2 2 0	2.942	100
4 2 2	1.699	38
4 0 0	2.080	37
2 0 0	4.161	24
1 1 1	4.804	22
4 4 0	1.471	21
3 1 1	2.509	19
6 2 0	1.316	18
3 3 1	1.909	11
4 2 0	1.861	8



# 2
For NaFeS2O14, a DFT-relaxed cell (GGA+U, the Materials Project) gives the calculated powder diffraction line list in this record (Cu Kα, 1.54184 Å).
Peak positions follow from Bragg's law for the DFT cell and can differ from measured ones.

Structure:
abc: 8.1945 10.8059 12.3783
angles: 90.00 94.80 90.00
Space group C2/c (No. 15)
Unique sites:
Na (0.0000, 0.0849, 0.2500) x4
Fe (0.0000, 0.5000, 0.0000) x4
S (0.2344, 0.3448, 0.1688) x8
O (0.0081, 0.4039, 0.6175) x8
O (0.0879, 0.3624, 0.0806) x8
O (0.1183, 0.1840, 0.8875) x8
O (0.1337, 0.1373, 0.4684) x8
O (0.1833, 0.2440, 0.2360) x8
O (0.2055, 0.0644, 0.5322) x8
O (0.2378, 0.0369, 0.7730) x8

Most intense lines, 2θ = 10–80°, most intense first:
hkl	d/Å	Rel. int.
1 1 -2	4.636	100
2 2 -1	3.203	65
1 3 2	2.866	51
1 1 3	3.377	50
1 1 0	6.515	37
0 2 2	4.064	26
0 2 1	4.949	25
3 1 0	2.639	23
2 0 -2	3.544	19
1 1 1	5.608	18



# 3
For Na2Fe3SbO8, a DFT-relaxed cell (GGA+U, the Materials Project) gives the calculated powder diffraction line list in this record (Cu Kα, 1.54184 Å).
Peak positions follow from Bragg's law for the DFT cell and can differ from measured ones.

Structure:
abc: 3.0579 9.4731 10.9763
angles: 90.00 90.00 90.00
Space group Pmn2_1 (No. 31)
Unique sites:
Na (0.0000, 0.0041, 0.0000) x2
Na (0.0000, 0.5176, 0.2036) x2
Fe (0.0000, 0.1808, 0.7583) x2
Fe (0.0000, 0.6655, 0.4574) x2
Fe (0.0000, 0.6807, 0.9831) x2
Sb (0.0000, 0.1939, 0.2439) x2
O (0.0000, 0.1731, 0.4234) x2
O (0.0000, 0.2707, 0.0766) x2
O (0.0000, 0.3704, 0.8418) x2
O (0.0000, 0.4524, 0.5140) x2
O (0.0000, 0.6680, 0.7823) x2
O (0.0000, 0.7805, 0.1400) x2
O (0.0000, 0.8627, 0.3747) x2
O (0.0000, 0.9436, 0.7062) x2

Most intense lines, 2θ = 10–80°, most intense first:
hkl	d/Å	Rel. int.
0 0 4	2.740	100
1 1 2	2.570	97
0 2 0	4.741	82
1 4 0	1.874	53
1 4 4	1.547	43
0 1 1	7.172	22
2 0 4	1.335	20
0 0 2	5.488	15
2 0 0	1.529	14
1 3 1	2.154	13